Computed powder diffraction line list
Compound: Be2Re
Radiation: copper Kα
Structure: a crystal structure in the Materials Project, relaxed with GGA-PBE
No peak broadening, texture or thermal motion is included.

Most intense lines, 15 to 90 degrees two-theta, low angle first:
- 23.47 deg, rel. 929
- 24.88 deg, rel. 550
- 26.61 deg, rel. 595
- 34.47 deg, rel. 381
- 41.25 deg, rel. 968
- 44.90 deg, rel. 1000
- 48.78 deg, rel. 666
- 77.76 deg, rel. 405

Cell: 4.377 4.377 7.157 Å, 90.00 90.00 120.00°
Fractional positions:
Be: 0.000 0.000 0.000
Be: 0.000 0.000 0.500
Be: 0.169 0.338 0.250
Be: 0.169 0.831 0.250
Be: 0.338 0.169 0.750
Be: 0.662 0.831 0.250
Be: 0.831 0.169 0.750
Be: 0.831 0.662 0.750
Re: 0.333 0.667 0.562
Re: 0.333 0.667 0.938
Re: 0.667 0.333 0.062
Re: 0.667 0.333 0.438

***

Computed powder diffraction line list
Compound: BeSiRh2
Radiation: copper Kα
Structure: a crystal structure in the Materials Project, relaxed with GGA-PBE
No peak broadening, texture or thermal motion is included.

Most intense lines, 15 to 90 degrees two-theta, low angle first:
- 26.88 deg, rel. 23
- 31.14 deg, rel. 707
- 44.61 deg, rel. 1000
- 52.85 deg, rel. 10
- 55.40 deg, rel. 182
- 64.93 deg, rel. 160
- 73.76 deg, rel. 226
- 82.20 deg, rel. 328

Cell: 4.062 4.062 4.062 Å, 60.00 60.00 60.00°
Fractional positions:
Be: 0.000 0.000 0.000
Si: 0.500 0.500 0.500
Rh: 0.250 0.250 0.250
Rh: 0.750 0.750 0.750